Simulated XRD peak list
Compound: LaPr2Nb2As6
Radiation: Cu Ka
Structure: a structure optimized by DFT (PBE)
Kinematic intensities with the Lorentz-polarization factor, no thermal factor.

Most intense lines, 10° ≤ 2θ ≤ 90°, by angle:
2θ/deg  d (Å)  I_rel
25.6  3.475  459
26.0  3.431  407
26.7  3.338  269
31.9  2.809  447
34.2  2.622  784
36.6  2.457  1000
38.5  2.341  306
52.7  1.738  346

Atomic structure:
```
LaPr2Nb2As6
1.0
-2.4575 2.4575 11.9792
2.4575 -2.4575 11.9792
2.4575 2.4575 -11.9792
La Pr Nb As
1 2 2 6
Direct
0.0000 0.0000 0.0000
0.1660 0.1660 0.0000
0.8340 0.8340 0.0000
0.3911 0.3911 0.0000
0.6089 0.6089 0.0000
0.0817 0.5817 0.5000
0.2907 0.2907 0.0000
0.4183 0.9183 0.5000
0.5817 0.0817 0.5000
0.7093 0.7093 0.0000
0.9183 0.4183 0.5000
```

***

Simulated XRD peak list
Compound: LaNdNi2As2
Radiation: Cu Ka
Structure: a structure optimized by DFT (PBE)
Kinematic intensities with the Lorentz-polarization factor, no thermal factor.

Most intense lines, 10° ≤ 2θ ≤ 90°, by angle:
2θ/deg  d (Å)  I_rel
24.8  3.596  111
33.2  2.697  1000
43.6  2.076  417
44.5  2.038  131
55.9  1.645  222
64.0  1.454  258
73.4  1.289  194
74.7  1.271  92

Atomic structure:
```
LaNdNi2As2
1.0
4.1526 0.0000 0.0000
-2.0763 3.5963 0.0000
0.0000 0.0000 8.1519
La Nd Ni As
1 1 2 2
Direct
0.0000 0.0000 0.0000
0.0000 0.0000 0.5000
0.3333 0.6667 0.7487
0.6667 0.3333 0.2513
0.3333 0.6667 0.2533
0.6667 0.3333 0.7467
```

***

Simulated XRD peak list
Compound: LaNdAs2Os2O2
Radiation: Cu Ka
Structure: a structure optimized by DFT (PBE)
Kinematic intensities with the Lorentz-polarization factor, no thermal factor.

Most intense lines, 10° ≤ 2θ ≤ 90°, by angle:
2θ/deg  d (Å)  I_rel
10.6  8.370  911
30.4  2.937  1000
32.5  2.754  914
37.6  2.393  893
43.9  2.062  744
53.9  1.700  668
54.4  1.688  386
88.3  1.107  419

Atomic structure:
```
LaNdAs2Os2O2
1.0
4.1239 0.0000 0.0000
0.0000 4.1239 0.0000
0.0000 0.0000 8.3703
La Nd As Os O
1 1 2 2 2
Direct
0.0000 0.0000 0.0000
0.5000 0.5000 0.7214
0.0000 0.0000 0.5251
0.5000 0.5000 0.2040
0.0000 0.5000 0.3652
0.5000 0.0000 0.3652
0.0000 0.5000 0.8586
0.5000 0.0000 0.8586
```

***

Simulated XRD peak list
Compound: LaNdAs2Pd2O2
Radiation: Cu Ka
Structure: a structure optimized by DFT (PBE)
Kinematic intensities with the Lorentz-polarization factor, no thermal factor.

Most intense lines, 10° ≤ 2θ ≤ 90°, by angle:
2θ/deg  d (Å)  I_rel
30.4  2.943  1000
31.9  2.806  416
37.2  2.414  447
42.8  2.111  528
53.4  1.715  405
54.2  1.691  403
62.2  1.493  170
87.1  1.119  207

Atomic structure:
```
LaNdAs2Pd2O2
1.0
4.2223 0.0000 0.0000
0.0000 4.2223 0.0000
0.0000 0.0000 8.2094
La Nd As Pd O
1 1 2 2 2
Direct
0.0000 0.0000 0.0000
0.5000 0.5000 0.7255
0.0000 0.0000 0.5295
0.5000 0.5000 0.2023
0.0000 0.5000 0.3669
0.5000 0.0000 0.3669
0.0000 0.5000 0.8615
0.5000 0.0000 0.8615
```

***

Simulated XRD peak list
Compound: LaNdAs2Pd2
Radiation: Cu Ka
Structure: a structure optimized by DFT (PBE)
Kinematic intensities with the Lorentz-polarization factor, no thermal factor.

Most intense lines, 10° ≤ 2θ ≤ 90°, by angle:
2θ/deg  d (Å)  I_rel
32.7  2.738  1000
41.1  2.197  523
46.1  1.971  122
53.5  1.714  246
63.4  1.467  277
69.6  1.351  221
74.8  1.269  87
76.7  1.242  80

Atomic structure:
```
LaNdAs2Pd2
1.0
4.3949 0.0000 0.0000
-2.1975 3.8061 0.0000
0.0000 0.0000 7.8829
La Nd As Pd
1 1 2 2
Direct
0.0000 0.0000 0.0000
0.0000 0.0000 0.5004
0.3333 0.6667 0.2620
0.6667 0.3333 0.7549
0.3333 0.6667 0.7374
0.6667 0.3333 0.2474
```

***

Simulated XRD peak list
Compound: SrLaNi2As2
Radiation: Cu Ka
Structure: a structure optimized by DFT (PBE)
Kinematic intensities with the Lorentz-polarization factor, no thermal factor.

Most intense lines, 10° ≤ 2θ ≤ 90°, by angle:
2θ/deg  d (Å)  I_rel
10.4  8.520  79
32.7  2.743  1000
42.4  2.130  149
43.7  2.069  426
55.6  1.652  213
62.6  1.484  274
71.5  1.320  94
73.3  1.291  184

Atomic structure:
```
SrLaNi2As2
1.0
4.1386 0.0000 0.0000
-2.0693 3.5842 0.0000
0.0000 0.0000 8.5203
Sr La Ni As
1 1 2 2
Direct
0.0000 0.0000 0.0000
0.0000 0.0000 0.5000
0.3333 0.6667 0.2627
0.6667 0.3333 0.7373
0.3333 0.6667 0.7416
0.6667 0.3333 0.2584
```